Simulated X-ray diffraction stick pattern of Cs2KNdI6 for Cu Kα (λ = 1.5418 Å), from a GGA-PBE-relaxed structure.

Atomic structure:
a = 13.006 Å, b = 13.006 Å, c = 13.006 Å
α = 90.00°, β = 90.00°, γ = 90.00°
Space group Fm-3m (No. 225)
Asymmetric unit:
Cs 0.250 0.250 0.250 (multiplicity 8)
K 0.000 0.000 0.000 (multiplicity 4)
Nd 0.000 0.000 0.500 (multiplicity 4)
I 0.000 0.000 0.261 (multiplicity 24)

The 10 most intense peaks (2θ from 15° to 90°), by intensity:
| Position (°2θ) | intensity |
| --- | --- |
| 27.43 | 100 |
| 23.70 | 92 |
| 39.18 | 75 |
| 46.31 | 43 |
| 64.04 | 33 |
| 48.50 | 26 |
| 71.01 | 24 |
| 62.23 | 17 |
| 19.30 | 13 |
| 56.62 | 12 |

---

Simulated X-ray diffraction stick pattern of Cs2KPrI6 for Cu Kα (λ = 1.5418 Å), from a GGA-PBE-relaxed structure.

Atomic structure:
a = 13.051 Å, b = 13.051 Å, c = 13.051 Å
α = 90.00°, β = 90.00°, γ = 90.00°
Space group Fm-3m (No. 225)
Asymmetric unit:
Cs 0.250 0.250 0.250 (multiplicity 8)
K 0.000 0.000 0.000 (multiplicity 4)
Pr 0.000 0.000 0.500 (multiplicity 4)
I 0.000 0.000 0.260 (multiplicity 24)

The 10 most intense peaks (2θ from 15° to 90°), by intensity:
| Position (°2θ) | intensity |
| --- | --- |
| 27.33 | 100 |
| 23.62 | 93 |
| 39.04 | 75 |
| 46.14 | 43 |
| 63.79 | 33 |
| 48.32 | 26 |
| 70.73 | 24 |
| 61.99 | 17 |
| 19.24 | 13 |
| 88.68 | 13 |